No. 1
Mn12Ge4N3: simulated X-ray powder pattern (Cu Kα), based on a structure optimized by DFT (PBE).

```
Mn12Ge4N3
1.0
5.210 0.000 0.000
0.000 5.210 0.000
0.000 0.000 7.861
Mn Ge N
12 4 3
Direct
0.000 0.000 0.244
0.000 0.000 0.756
0.180 0.320 0.000
0.232 0.752 0.500
0.248 0.232 0.500
0.320 0.820 0.000
0.500 0.500 0.251
0.500 0.500 0.749
0.680 0.180 0.000
0.752 0.768 0.500
0.768 0.248 0.500
0.820 0.680 0.000
0.000 0.500 0.268
0.000 0.500 0.732
0.500 0.000 0.268
0.500 0.000 0.732
0.000 0.000 0.000
0.500 0.500 0.000
0.500 0.500 0.500
```

Most intense lines, 2θ = 10–90°, sorted by position:
2θ 34.4, intensity 5
2θ 40.4, intensity 10
2θ 41.6, intensity 100
2θ 45.2, intensity 4
2θ 46.2, intensity 24
2θ 49.5, intensity 31
2θ 52.6, intensity 4
2θ 70.0, intensity 19
2θ 72.6, intensity 8
2θ 82.4, intensity 10
2θ 85.3, intensity 4
2θ 87.3, intensity 13



No. 2
KTb2Ce2O7: simulated X-ray powder pattern (Cu Kα), based on a structure optimized by DFT (PBE).

```
KTb2Ce2O7
1.0
10.114 -2.307 0.000
10.114 2.307 0.000
-1.052 0.000 4.492
K Tb Ce O
1 2 2 7
Direct
0.000 0.000 0.000
0.248 0.248 0.745
0.748 0.748 0.245
0.388 0.388 0.384
0.609 0.609 0.606
0.132 0.132 0.629
0.262 0.262 0.259
0.364 0.364 0.860
0.498 0.498 0.492
0.632 0.632 0.129
0.734 0.734 0.731
0.864 0.864 0.360
```

Most intense lines, 2θ = 10–90°, sorted by position:
2θ 19.8, intensity 60
2θ 23.6, intensity 31
2θ 27.2, intensity 30
2θ 28.8, intensity 100
2θ 29.8, intensity 43
2θ 32.9, intensity 78
2θ 36.5, intensity 37
2θ 39.0, intensity 78
2θ 48.2, intensity 26
2θ 54.5, intensity 72
2θ 56.4, intensity 25
2θ 66.9, intensity 24



No. 3
AlIn2Pt9: simulated X-ray powder pattern (Cu Kα), based on a structure optimized by DFT (PBE).

```
AlIn2Pt9
1.0
4.007 0.000 0.000
0.000 4.007 0.000
0.000 0.000 12.031
Al In Pt
1 2 9
Direct
0.000 0.000 0.000
0.000 0.000 0.330
0.000 0.000 0.670
0.000 0.500 0.156
0.000 0.500 0.500
0.000 0.500 0.844
0.500 0.000 0.156
0.500 0.000 0.500
0.500 0.000 0.844
0.500 0.500 0.000
0.500 0.500 0.328
0.500 0.500 0.672
```

Most intense lines, 2θ = 10–90°, sorted by position:
2θ 22.2, intensity 8
2θ 31.6, intensity 7
2θ 37.4, intensity 2
2θ 38.9, intensity 100
2θ 45.3, intensity 49
2θ 50.9, intensity 4
2θ 56.2, intensity 3
2θ 65.9, intensity 31
2θ 70.5, intensity 2
2θ 71.0, intensity 2
2θ 79.3, intensity 37
2θ 83.6, intensity 11



No. 4
NaGePdPt: simulated X-ray powder pattern (Cu Kα), based on a structure optimized by DFT (PBE).

```
NaGePdPt
1.0
4.573 0.000 0.000
0.000 2.892 0.000
0.000 0.000 10.313
Na Ge Pd Pt
2 2 2 2
Direct
0.000 0.000 0.000
0.000 0.500 0.500
0.500 0.000 0.641
0.500 0.500 0.141
0.500 0.000 0.359
0.500 0.500 0.859
0.000 0.000 0.740
0.000 0.500 0.240
```

Most intense lines, 2θ = 10–90°, sorted by position:
2θ 17.2, intensity 100
2θ 26.0, intensity 36
2θ 32.1, intensity 41
2θ 37.8, intensity 89
2θ 39.4, intensity 50
2θ 40.2, intensity 87
2θ 40.8, intensity 51
2θ 45.5, intensity 34
2θ 51.7, intensity 22
2θ 58.0, intensity 36
2θ 75.3, intensity 21
2θ 78.7, intensity 24



No. 5
BaGaH4I: simulated X-ray powder pattern (Cu Kα), based on a structure optimized by DFT (PBE).

```
BaGaH4I
1.0
6.507 -3.265 0.000
6.507 3.265 0.000
-0.176 0.000 6.704
Ba Ga H I
2 2 8 2
Direct
0.230 0.230 0.230
0.770 0.770 0.770
0.087 0.087 0.772
0.913 0.913 0.228
0.033 0.033 0.195
0.053 0.667 0.111
0.115 0.115 0.545
0.333 0.947 0.889
0.667 0.053 0.111
0.885 0.885 0.455
0.947 0.333 0.889
0.967 0.967 0.805
0.370 0.370 0.692
0.630 0.630 0.308
```

Most intense lines, 2θ = 10–90°, sorted by position:
2θ 13.6, intensity 28
2θ 26.6, intensity 50
2θ 27.3, intensity 60
2θ 27.8, intensity 100
2θ 28.3, intensity 52
2θ 30.3, intensity 18
2θ 30.9, intensity 21
2θ 38.5, intensity 37
2θ 40.0, intensity 15
2θ 41.7, intensity 16
2θ 47.4, intensity 25
2θ 48.6, intensity 21



No. 6
Tb6Sn3N2: simulated X-ray powder pattern (Cu Kα), based on a structure optimized by DFT (PBE).

```
Tb6Sn3N2
1.0
-2.361 2.361 12.543
2.361 -2.361 12.543
2.361 2.361 -12.543
Tb Sn N
6 3 2
Direct
0.084 0.584 0.500
0.192 0.192 0.000
0.416 0.916 0.500
0.584 0.084 0.500
0.808 0.808 0.000
0.916 0.416 0.500
0.322 0.322 0.000
0.500 0.500 0.000
0.678 0.678 0.000
0.102 0.102 0.000
0.898 0.898 0.000
```

Most intense lines, 2θ = 10–90°, sorted by position:
2θ 14.1, intensity 11
2θ 27.6, intensity 43
2θ 28.5, intensity 14
2θ 30.3, intensity 18
2θ 34.4, intensity 100
2θ 35.8, intensity 12
2θ 38.1, intensity 53
2θ 48.2, intensity 14
2θ 53.3, intensity 15
2θ 55.0, intensity 18
2θ 59.0, intensity 11
2θ 66.5, intensity 30



No. 7
Sm2Y6Ho: simulated X-ray powder pattern (Cu Kα), based on a structure optimized by DFT (PBE).

```
Sm2Y6Ho
1.0
-4.855 8.647 3.468
4.855 -8.647 3.468
4.855 8.647 -3.468
Sm Y Ho
4 12 2
Direct
0.083 0.250 0.833
0.417 0.250 0.167
0.583 0.750 0.833
0.917 0.750 0.167
0.011 0.831 0.843
0.155 0.330 0.485
0.176 0.665 0.841
0.324 0.165 0.489
0.345 0.830 0.174
0.489 0.331 0.820
0.511 0.669 0.180
0.655 0.170 0.826
0.676 0.835 0.511
0.824 0.335 0.159
0.845 0.670 0.515
0.989 0.169 0.157
0.250 0.750 0.500
0.750 0.250 0.500
```

Most intense lines, 2θ = 10–90°, sorted by position:
2θ 17.9, intensity 10
2θ 31.0, intensity 32
2θ 31.5, intensity 69
2θ 31.7, intensity 100
2θ 45.0, intensity 25
2θ 45.6, intensity 12
2θ 55.5, intensity 12
2θ 55.6, intensity 11
2θ 56.2, intensity 13
2θ 56.6, intensity 14
2θ 62.5, intensity 8
2θ 62.9, intensity 17



No. 8
Li2PmTm2Si2: simulated X-ray powder pattern (Cu Kα), based on a structure optimized by DFT (PBE).

```
Li2PmTm2Si2
1.0
2.234 1.290 8.695
-2.234 1.290 8.695
0.000 -2.580 8.695
Li Pm Tm Si
2 1 2 2
Direct
0.093 0.093 0.093
0.907 0.907 0.907
0.500 0.500 0.500
0.371 0.371 0.371
0.629 0.629 0.629
0.242 0.242 0.242
0.758 0.758 0.758
```

Most intense lines, 2θ = 10–90°, sorted by position:
2θ 10.2, intensity 14
2θ 23.2, intensity 100
2θ 33.4, intensity 59
2θ 36.0, intensity 68
2θ 40.4, intensity 53
2θ 47.1, intensity 15
2θ 51.7, intensity 15
2θ 53.4, intensity 16
2θ 55.2, intensity 20
2θ 68.4, intensity 19
2θ 69.0, intensity 15
2θ 70.6, intensity 19



No. 9
Ca2Ga12Rh: simulated X-ray powder pattern (Cu Kα), based on a structure optimized by DFT (PBE).

```
Ca2Ga12Rh
1.0
6.030 0.000 0.000
0.000 6.030 0.000
0.000 0.000 16.128
Ca Ga Rh
4 24 2
Direct
0.250 0.750 0.249
0.250 0.750 0.751
0.750 0.250 0.249
0.750 0.250 0.751
0.000 0.000 0.087
0.000 0.000 0.913
0.000 0.500 0.087
0.000 0.500 0.913
0.070 0.570 0.430
0.070 0.930 0.570
0.250 0.250 0.188
0.250 0.250 0.342
0.250 0.250 0.658
0.250 0.250 0.812
0.430 0.570 0.570
0.430 0.930 0.430
0.500 0.000 0.087
0.500 0.000 0.913
0.500 0.500 0.087
0.500 0.500 0.913
0.570 0.070 0.570
0.570 0.430 0.430
0.750 0.750 0.188
0.750 0.750 0.342
0.750 0.750 0.658
0.750 0.750 0.812
0.930 0.070 0.430
0.930 0.430 0.570
0.250 0.750 0.000
0.750 0.250 0.000
```

Most intense lines, 2θ = 10–90°, sorted by position:
2θ 11.0, intensity 47
2θ 23.6, intensity 53
2θ 30.5, intensity 45
2θ 31.7, intensity 82
2θ 37.3, intensity 58
2θ 40.2, intensity 22
2θ 41.0, intensity 35
2θ 42.4, intensity 94
2θ 44.7, intensity 22
2θ 45.2, intensity 100
2θ 53.1, intensity 22
2θ 67.6, intensity 24



No. 10
Pu2CoSi6Pt: simulated X-ray powder pattern (Cu Kα), based on a structure optimized by DFT (PBE).

```
Pu2CoSi6Pt
1.0
2.905 1.677 12.142
-2.905 1.677 12.142
0.000 -3.354 12.142
Pu Co Si Pt
4 2 12 2
Direct
0.124 0.124 0.124
0.278 0.278 0.278
0.722 0.722 0.722
0.876 0.876 0.876
0.000 0.000 0.000
0.500 0.500 0.500
0.072 0.663 0.663
0.188 0.188 0.775
0.188 0.775 0.188
0.225 0.812 0.812
0.337 0.337 0.928
0.337 0.928 0.337
0.663 0.072 0.663
0.663 0.663 0.072
0.775 0.188 0.188
0.812 0.225 0.812
0.812 0.812 0.225
0.928 0.337 0.337
0.422 0.422 0.422
0.578 0.578 0.578
```

Most intense lines, 2θ = 10–90°, sorted by position:
2θ 14.6, intensity 25
2θ 24.6, intensity 92
2θ 30.8, intensity 100
2θ 34.2, intensity 19
2θ 36.7, intensity 43
2θ 39.0, intensity 16
2θ 39.8, intensity 54
2θ 48.6, intensity 21
2θ 51.1, intensity 32
2θ 54.7, intensity 19
2θ 58.7, intensity 16
2θ 64.1, intensity 19



No. 11
SmHo2C3: simulated X-ray powder pattern (Cu Kα), based on a structure optimized by DFT (PBE).

```
SmHo2C3
1.0
-2.839 5.182 3.742
2.839 -5.182 3.742
2.839 5.182 -3.742
Sm Ho C
2 4 6
Direct
0.288 0.038 0.250
0.712 0.962 0.750
0.090 0.668 0.423
0.255 0.332 0.923
0.745 0.668 0.077
0.910 0.332 0.577
0.000 0.000 0.500
0.000 0.121 0.121
0.000 0.500 0.000
0.000 0.879 0.879
0.500 0.121 0.621
0.500 0.879 0.379
```

Most intense lines, 2θ = 10–90°, sorted by position:
2θ 14.6, intensity 49
2θ 26.1, intensity 100
2θ 28.5, intensity 78
2θ 29.9, intensity 59
2θ 31.5, intensity 70
2θ 38.9, intensity 32
2θ 39.5, intensity 72
2θ 40.1, intensity 32
2θ 43.0, intensity 59
2θ 43.7, intensity 29
2θ 53.0, intensity 53
2θ 58.4, intensity 37



No. 12
Sm3SiPd3: simulated X-ray powder pattern (Cu Kα), based on a structure optimized by DFT (PBE).

```
Sm3SiPd3
1.0
5.320 -2.028 0.000
5.320 2.028 0.000
-4.588 0.000 14.515
Sm Si Pd
6 2 6
Direct
0.017 0.017 0.386
0.103 0.103 0.923
0.243 0.243 0.233
0.757 0.757 0.767
0.897 0.897 0.077
0.983 0.983 0.614
0.265 0.265 0.616
0.735 0.735 0.384
0.334 0.334 0.466
0.381 0.381 0.924
0.469 0.469 0.763
0.531 0.531 0.237
0.619 0.619 0.076
0.666 0.666 0.534
```

Most intense lines, 2θ = 10–90°, sorted by position:
2θ 27.9, intensity 23
2θ 31.7, intensity 50
2θ 32.3, intensity 100
2θ 33.6, intensity 64
2θ 33.7, intensity 37
2θ 37.2, intensity 27
2θ 37.6, intensity 22
2θ 39.5, intensity 76
2θ 40.9, intensity 18
2θ 44.7, intensity 41
2θ 52.4, intensity 21
2θ 65.6, intensity 23